# 1
The following is a simulated X-ray powder pattern of Rb2CeBr3F3. It was derived from a crystal structure in Alexandria, relaxed with GGA-PBE, using Cu Kα (weighted mean of Kα1 and Kα2).
Peak positions follow from Bragg's law for the DFT cell and can differ from measured ones.

Atomic structure:
```
data_Rb2CeBr3F3
_space_group_name_H-M_alt 'P -6 2 m'
_space_group_IT_number 189
_space_group_name_Hall 'P -6 -2'
_cell_length_a 8.7038
_cell_length_b 8.7038
_cell_length_c 3.7342
_cell_angle_alpha 90.00
_cell_angle_beta 90.00
_cell_angle_gamma 120.00
loop_
_atom_site_label
_atom_site_type_symbol
_atom_site_fract_x
_atom_site_fract_y
_atom_site_fract_z
Rb1 Rb 0.3333 0.6667 0.0000
Ce1 Ce 0.0000 0.0000 0.5000
Br1 Br 0.0000 0.6482 0.5000
F1 F 0.0000 0.1696 0.0000
```

Largest 6 diffraction maxima, in order of rising 2θ, 10° ≤ 2θ ≤ 80°:
d 4.352, intensity 100; d 3.346, intensity 39; d 2.834, intensity 69; d 2.653, intensity 50; d 2.513, intensity 87; d 2.265, intensity 58


# 2
The following is a simulated X-ray powder pattern of MnBrN2. It was derived from a crystal structure in Alexandria, relaxed with GGA-PBE, using Cu Kα (weighted mean of Kα1 and Kα2).
Peak positions follow from Bragg's law for the DFT cell and can differ from measured ones.

Atomic structure:
```
data_MnBrN2
_space_group_name_H-M_alt 'I 41/a m d'
_space_group_IT_number 141
_cell_length_a 5.6150
_cell_length_b 5.6150
_cell_length_c 7.9328
_cell_angle_alpha 90.00
_cell_angle_beta 90.00
_cell_angle_gamma 90.00
loop_
_space_group_symop_operation_xyz
'x,y,z'
'-x,-y,-z'
'-y+1/4,x+3/4,z+1/4'
'y+1/4,-x+3/4,-z+1/4'
'-x+1/2,-y,z+1/2'
'x+1/2,y,-z+1/2'
'y+1/4,-x+1/4,z+3/4'
'-y+1/4,x+1/4,-z+3/4'
'x,-y,-z'
'-x,y,z'
'-y+1/4,-x+1/4,-z+3/4'
'y+1/4,x+1/4,z+3/4'
'-x+1/2,y,-z+1/2'
'x+1/2,-y,z+1/2'
'y+1/4,x+3/4,-z+1/4'
'-y+1/4,-x+3/4,z+1/4'
'x+1/2,y+1/2,z+1/2'
'-x+1/2,-y+1/2,-z+1/2'
'-y+3/4,x+1/4,z+3/4'
'y+3/4,-x+1/4,-z+3/4'
'-x,-y+1/2,z'
'x,y+1/2,-z'
'y+3/4,-x+3/4,z+1/4'
'-y+3/4,x+3/4,-z+1/4'
'x+1/2,-y+1/2,-z+1/2'
'-x+1/2,y+1/2,z+1/2'
'-y+3/4,-x+3/4,-z+1/4'
'y+3/4,x+3/4,z+1/4'
'-x,y+1/2,-z'
'x,-y+1/2,z'
'y+3/4,x+1/4,-z+3/4'
'-y+3/4,-x+1/4,z+3/4'
loop_
_atom_site_label
_atom_site_type_symbol
_atom_site_fract_x
_atom_site_fract_y
_atom_site_fract_z
Mn1 Mn 0.0000 0.2500 0.3750
Br1 Br 0.0000 0.2500 0.8750
N1 N 0.0000 0.0000 0.5000
```

Largest 6 diffraction maxima, in order of rising 2θ, 10° ≤ 2θ ≤ 80°:
d 2.807, intensity 100; d 2.393, intensity 7; d 1.985, intensity 12; d 1.620, intensity 36; d 1.403, intensity 14; d 1.255, intensity 15


Repeat the first record exactly.
The following is a simulated X-ray powder pattern of Rb2CeBr3F3. It was derived from a crystal structure in Alexandria, relaxed with GGA-PBE, using Cu Kα (weighted mean of Kα1 and Kα2).
Peak positions follow from Bragg's law for the DFT cell and can differ from measured ones.

Atomic structure:
```
data_Rb2CeBr3F3
_space_group_name_H-M_alt 'P -6 2 m'
_space_group_IT_number 189
_space_group_name_Hall 'P -6 -2'
_cell_length_a 8.7038
_cell_length_b 8.7038
_cell_length_c 3.7342
_cell_angle_alpha 90.00
_cell_angle_beta 90.00
_cell_angle_gamma 120.00
loop_
_atom_site_label
_atom_site_type_symbol
_atom_site_fract_x
_atom_site_fract_y
_atom_site_fract_z
Rb1 Rb 0.3333 0.6667 0.0000
Ce1 Ce 0.0000 0.0000 0.5000
Br1 Br 0.0000 0.6482 0.5000
F1 F 0.0000 0.1696 0.0000
```

Largest 6 diffraction maxima, in order of rising 2θ, 10° ≤ 2θ ≤ 80°:
d 4.352, intensity 100; d 3.346, intensity 39; d 2.834, intensity 69; d 2.653, intensity 50; d 2.513, intensity 87; d 2.265, intensity 58